Starting from a DFT-relaxed cell (GGA-PBE, OQMD), the X-ray diffraction stick pattern of Hf2Al2CuAg was computed for Cu Kα (λ = 1.5418 Å).
Intensities are scaled so that the largest is 100.

Structure:
```
Hf2Al2CuAg
1.0
7.533 0.000 0.000
0.000 4.327 0.000
-2.433 0.000 14.184
Hf Al Cu Ag
8 8 4 4
Direct
0.000 0.000 0.000
0.010 0.500 0.493
0.234 0.000 0.736
0.247 0.500 0.242
0.481 0.000 0.484
0.500 0.500 0.000
0.743 0.000 0.236
0.759 0.500 0.740
0.122 0.500 0.863
0.123 0.000 0.363
0.367 0.500 0.612
0.372 0.000 0.122
0.614 0.500 0.363
0.621 0.000 0.866
0.875 0.500 0.123
0.876 0.000 0.615
0.060 0.500 0.677
0.061 0.000 0.182
0.307 0.500 0.426
0.558 0.500 0.182
0.309 0.000 0.929
0.558 0.000 0.676
0.808 0.000 0.427
0.811 0.500 0.931
```

Peak list (10 most intense, 5° ≤ 2θ ≤ 70°, low angle first)
h k l	d_spacing	2θ (°)	I/Imax
1 1 1	3.543	25.1	100.0
2 0 2	3.082	29.0	6.9
1 1 -3	3.062	29.2	14.1
3 1 -1	2.172	41.6	74.3
0 2 0	2.165	41.7	37.3
4 0 0	1.856	49.1	15.7
2 2 -2	1.848	49.3	32.2
4 0 4	1.541	60.0	5.9
2 2 -6	1.531	60.5	12.2
4 2 0	1.409	66.3	12.4



Starting from a DFT-relaxed cell (GGA-PBE, OQMD), the X-ray diffraction stick pattern of La3Mg3HgPd2 was computed for Cu Kα (λ = 1.5418 Å).
Intensities are scaled so that the largest is 100.

Structure:
```
La3Mg3HgPd2
1.0
7.734 0.000 0.000
-3.867 6.698 0.000
0.000 0.000 4.331
La Mg Hg Pd
3 3 1 2
Direct
0.000 0.423 0.000
0.423 0.000 0.000
0.577 0.577 0.000
0.000 0.754 0.500
0.246 0.246 0.500
0.754 0.000 0.500
0.000 0.000 0.000
0.333 0.667 0.500
0.667 0.333 0.500
```

Peak list (10 most intense, 5° ≤ 2θ ≤ 70°, low angle first)
h k l	d_spacing	2θ (°)	I/Imax
1 1 0	3.867	23.0	29.9
1 0 1	3.637	24.5	17.9
2 0 0	3.349	26.6	30.0
1 1 1	2.885	31.0	35.4
2 0 1	2.649	33.8	100.0
3 0 0	2.233	40.4	23.4
2 1 1	2.186	41.3	27.9
0 0 2	2.166	41.7	19.6
3 1 1	1.707	53.7	16.2
3 2 1	1.448	64.3	20.8



Starting from a DFT-relaxed cell (GGA-PBE, OQMD), the X-ray diffraction stick pattern of CsZnCd3As3 was computed for Cu Kα (λ = 1.5418 Å).
Intensities are scaled so that the largest is 100.

Structure:
```
CsZnCd3As3
1.0
4.443 0.000 0.000
0.000 4.531 0.000
0.000 0.000 10.889
Cs Zn Cd As
1 1 3 3
Direct
0.000 0.000 0.000
0.000 0.500 0.332
0.000 0.500 0.655
0.500 0.000 0.340
0.500 0.000 0.662
0.000 0.000 0.492
0.500 0.500 0.206
0.500 0.500 0.801
```

Peak list (10 most intense, 5° ≤ 2θ ≤ 70°, low angle first)
h k l	d_spacing	2θ (°)	I/Imax
0 0 1	10.889	8.1	61.9
0 1 2	3.483	25.6	60.6
1 0 2	3.442	25.9	75.4
1 1 1	3.046	29.3	87.7
1 1 2	2.741	32.7	45.2
1 1 3	2.389	37.7	100.0
0 2 0	2.266	39.8	55.8
2 0 0	2.221	40.6	55.3
1 1 4	2.066	43.8	74.7
1 2 2	1.893	48.1	39.7